No. 1
For Rb2HSeBr6, the PBE geometry in Alexandria gives the computed powder X-ray diffraction pattern in this record (Cu Ka).
Lines closer than 0.1° are merged.

Structural model:
Lattice parameters (Å, degrees): 7.5707 7.5707 7.5707 113.01 113.01 102.60
Sites, in units of the cell vectors:
Rb1 0.2500 0.7500 0.5000
Rb2 0.7500 0.2500 0.5000
H1 0.0000 0.0000 0.0000
Se1 0.5000 0.5000 0.0000
Br1 0.1804 0.1804 0.0000
Br2 0.2810 0.2810 0.5621
Br3 0.2810 0.7190 0.0000
Br4 0.7190 0.2810 0.0000
Br5 0.7190 0.7190 0.4379
Br6 0.8196 0.8196 0.0000

Main lines, by angle (2θ from 10° to 90°):
2θ/deg, intensity
24.09, 14
28.50, 88
30.26, 100
38.02, 12
43.31, 23
48.75, 28
49.34, 19
52.67, 21
58.98, 11
62.93, 18

---

No. 2
For NaSrCr2Cl8, the PBE geometry in Alexandria gives the computed powder X-ray diffraction pattern in this record (Cu Ka).
Lines closer than 0.1° are merged.

Structural model:
Lattice parameters (Å, degrees): 7.7638 7.7638 7.7638 106.53 106.53 115.53
Sites, in units of the cell vectors:
Na1 0.0000 0.0000 0.0000
Sr1 0.2500 0.7500 0.5000
Cr1 0.5000 0.5000 0.0000
Cr2 0.7500 0.2500 0.5000
Cl1 0.3086 0.1301 0.8215
Cl2 0.3086 0.4871 0.1785
Cl3 0.3831 0.0601 0.3230
Cl4 0.5129 0.6914 0.8215
Cl5 0.7372 0.0601 0.6770
Cl6 0.8699 0.6914 0.1785
Cl7 0.9399 0.2628 0.3230
Cl8 0.9399 0.6169 0.6770

Main lines, by angle (2θ from 10° to 90°):
2θ/deg, intensity
19.11, 100
23.97, 32
25.43, 20
28.89, 27
30.83, 29
33.88, 16
37.54, 67
38.78, 21
46.95, 39
59.74, 12

---

No. 3
For Dy2Br2N, the PBE geometry in Alexandria gives the computed powder X-ray diffraction pattern in this record (Cu Ka).
Lines closer than 0.1° are merged.

Structural model:
Lattice parameters (Å, degrees): 3.6662 3.6662 32.0589 90.00 90.00 120.00
Sites, in units of the cell vectors:
Dy1 0.0000 0.0000 0.1265
Dy2 0.0000 0.0000 0.8735
Dy3 0.3333 0.6667 0.5402
Dy4 0.3333 0.6667 0.7931
Dy5 0.6667 0.3333 0.2069
Dy6 0.6667 0.3333 0.4598
Br1 0.0000 0.0000 0.2678
Br2 0.0000 0.0000 0.7322
Br3 0.3333 0.6667 0.3989
Br4 0.3333 0.6667 0.9344
Br5 0.6667 0.3333 0.0656
Br6 0.6667 0.3333 0.6011
N1 0.0000 0.0000 0.5000
N2 0.3333 0.6667 0.1667
N3 0.6667 0.3333 0.8333

Main lines, by angle (2θ from 10° to 90°):
2θ/deg, intensity
28.25, 37
28.66, 23
30.28, 21
31.44, 77
34.37, 71
36.09, 100
46.64, 35
49.74, 52
62.98, 19
67.29, 28

---

No. 4
For NaNbAg3, the PBE geometry in Alexandria gives the computed powder X-ray diffraction pattern in this record (Cu Ka).
Lines closer than 0.1° are merged.

Structural model:
Lattice parameters (Å, degrees): 5.2600 5.2600 5.2600 90.00 90.00 90.00
Sites, in units of the cell vectors:
Na1 0.0000 0.0000 0.0000
Nb1 0.5000 0.5000 0.5000
Ag1 0.0000 0.5000 0.5000
Ag2 0.5000 0.0000 0.5000
Ag3 0.5000 0.5000 0.0000

Main lines, by angle (2θ from 10° to 90°):
2θ/deg, intensity
16.86, 93
29.41, 67
34.09, 100
38.26, 47
48.98, 69
52.17, 23
58.17, 27
61.02, 23
74.36, 13
81.91, 29

---

No. 5
For Pu2Zn2Pd, the PBE geometry in Alexandria gives the computed powder X-ray diffraction pattern in this record (Cu Ka).
Lines closer than 0.1° are merged.

Structural model:
Lattice parameters (Å, degrees): 12.6450 12.6450 12.6450 162.04 162.04 25.51
Sites, in units of the cell vectors:
Pu1 0.0272 0.2772 0.7500
Pu2 0.2772 0.0272 0.2500
Pu3 0.7228 0.9728 0.7500
Pu4 0.9728 0.7228 0.2500
Zn1 0.1874 0.4374 0.7500
Zn2 0.4374 0.1874 0.2500
Zn3 0.5626 0.8126 0.7500
Zn4 0.8126 0.5626 0.2500
Pd1 0.3750 0.6250 0.7500
Pd2 0.6250 0.3750 0.2500

Main lines, by angle (2θ from 10° to 90°):
2θ/deg, intensity
14.36, 47
25.02, 77
34.11, 27
39.00, 100
40.05, 17
45.98, 44
46.58, 17
53.05, 21
67.05, 14
80.39, 25

---

No. 6
For CdBRh3, the PBE geometry in Alexandria gives the computed powder X-ray diffraction pattern in this record (Cu Ka).
Lines closer than 0.1° are merged.

Structural model:
Lattice parameters (Å, degrees): 7.7556 7.7556 4.8266 99.56 99.56 86.37
Sites, in units of the cell vectors:
Cd1 0.0796 0.9204 0.7500
Cd2 0.2156 0.7844 0.2500
Cd3 0.7844 0.2156 0.7500
Cd4 0.9204 0.0796 0.2500
B1 0.2706 0.4996 0.9209
B2 0.4996 0.2706 0.4209
B3 0.5004 0.7294 0.5791
B4 0.7294 0.5004 0.0791
Rh1 0.0029 0.5882 0.7847
Rh2 0.1479 0.2640 0.7268
Rh3 0.2640 0.1479 0.2268
Rh4 0.3281 0.4940 0.5077
Rh5 0.4118 0.9971 0.7153
Rh6 0.4940 0.3281 0.0077
Rh7 0.5060 0.6719 0.9923
Rh8 0.5882 0.0029 0.2847
Rh9 0.6719 0.5060 0.4923
Rh10 0.7360 0.8521 0.7732
Rh11 0.8521 0.7360 0.2732
Rh12 0.9971 0.4118 0.2153

Main lines, by angle (2θ from 10° to 90°):
2θ/deg, intensity
31.58, 36
32.48, 34
37.40, 100
38.28, 39
40.61, 33
41.89, 61
41.98, 43
44.17, 69
44.63, 38
76.23, 49

---

No. 7
For Sr6Os7, the PBE geometry in Alexandria gives the computed powder X-ray diffraction pattern in this record (Cu Ka).
Lines closer than 0.1° are merged.

Structural model:
Lattice parameters (Å, degrees): 13.5403 13.5403 13.5403 22.73 22.73 22.73
Sites, in units of the cell vectors:
Sr1 0.0649 0.0649 0.0649
Sr2 0.1526 0.1526 0.1526
Sr3 0.3669 0.3669 0.3669
Sr4 0.6331 0.6331 0.6331
Sr5 0.8474 0.8474 0.8474
Sr6 0.9351 0.9351 0.9351
Os1 0.1037 0.6102 0.6102
Os2 0.3898 0.3898 0.8963
Os3 0.3898 0.8963 0.3898
Os4 0.5000 0.5000 0.5000
Os5 0.6102 0.1037 0.6102
Os6 0.6102 0.6102 0.1037
Os7 0.8963 0.3898 0.3898

Main lines, by angle (2θ from 10° to 90°):
2θ/deg, intensity
13.43, 49
20.20, 39
37.30, 66
39.05, 45
39.52, 100
40.08, 81
40.68, 91
43.22, 44
67.95, 43
70.61, 39

---

No. 8
For YHo7Er3, the PBE geometry in Alexandria gives the computed powder X-ray diffraction pattern in this record (Cu Ka).
Lines closer than 0.1° are merged.

Structural model:
Lattice parameters (Å, degrees): 6.9403 5.4803 9.7990 90.00 110.07 90.00
Sites, in units of the cell vectors:
Y1 0.0000 0.0000 0.0000
Ho1 0.0000 0.0000 0.5000
Ho2 0.1478 0.5000 0.7909
Ho3 0.3221 0.5000 0.1419
Ho4 0.4210 0.0000 0.3310
Ho5 0.5790 0.0000 0.6690
Ho6 0.6779 0.5000 0.8581
Ho7 0.8522 0.5000 0.2091
Er1 0.2789 0.5000 0.4975
Er2 0.5000 0.0000 0.0000
Er3 0.7211 0.5000 0.5025

Main lines, by angle (2θ from 10° to 90°):
2θ/deg, intensity
31.93, 78
32.13, 100
32.50, 17
32.68, 56
33.47, 56
52.76, 13
57.85, 14
57.98, 16
63.46, 15
63.65, 14